Calculated powder X-ray diffraction pattern
Compound: Gd3TlSn4Pb2
Radiation: a wavelength of 1.5418 Å
Structure: a DFT-relaxed cell (PBE, OQMD)
No peak broadening, texture or thermal motion is included.

Main lines, sorted by position (5 to 70 degrees two-theta):
| two_theta | intensity | index |
| --- | --- | --- |
| 6.96 | 7 | 0 2 0 |
| 23.72 | 4 | 0 4 1 |
| 32.45 | 100 | 1 5 1 |
| 35.34 | 18 | 0 10 0 |
| 38.74 | 32 | 2 0 0 |
| 53.44 | 22 | 2 10 0 |
| 55.95 | 11 | 2 0 2 |
| 61.62 | 12 | 1 15 1 |
| 66.18 | 27 | 3 5 1 |
| 67.94 | 11 | 2 10 2 |

Structural model:
a b c (Å): 4.6465 25.3962 4.6500
angles (deg): 90.00 90.00 90.00
Space group Cmmm (No. 65)
Asymmetric unit:
Gd1 0.0000 0.0000 0.0000 (multiplicity 2)
Gd2 0.0000 0.1887 0.0000 (multiplicity 4)
Tl1 0.0000 0.5000 0.5000 (multiplicity 2)
Sn1 0.0000 0.0980 0.5000 (multiplicity 4)
Sn2 0.0000 0.2917 0.5000 (multiplicity 4)
Pb1 0.0000 0.4030 0.0000 (multiplicity 4)

=====

Calculated powder X-ray diffraction pattern
Compound: Gd3Tl2Sn3Pb2
Radiation: a wavelength of 1.5418 Å
Structure: a DFT-relaxed cell (PBE, OQMD)
No peak broadening, texture or thermal motion is included.

Main lines, sorted by position (5 to 70 degrees two-theta):
| two_theta | intensity | index |
| --- | --- | --- |
| 32.42 | 100 | 1 5 1 |
| 34.82 | 19 | 0 10 0 |
| 38.85 | 16 | 0 0 2 |
| 39.04 | 16 | 2 0 0 |
| 53.15 | 12 | 0 10 2 |
| 53.30 | 11 | 2 10 0 |
| 60.92 | 14 | 1 15 1 |
| 66.32 | 13 | 1 5 3 |
| 66.57 | 13 | 3 5 1 |
| 67.89 | 11 | 2 10 2 |

Structural model:
a b c (Å): 4.6149 25.7638 4.6359
angles (deg): 90.00 90.00 90.00
Space group Cmmm (No. 65)
Asymmetric unit:
Gd1 0.0000 0.0000 0.0000 (multiplicity 2)
Gd2 0.0000 0.1904 0.0000 (multiplicity 4)
Tl1 0.0000 0.4020 0.0000 (multiplicity 4)
Sn1 0.0000 0.2913 0.5000 (multiplicity 4)
Sn2 0.0000 0.5000 0.5000 (multiplicity 2)
Pb1 0.0000 0.0976 0.5000 (multiplicity 4)

=====

Calculated powder X-ray diffraction pattern
Compound: Gd3Tl2Sn3Pb2
Radiation: a wavelength of 1.5418 Å
Structure: a DFT-relaxed cell (PBE, OQMD)
No peak broadening, texture or thermal motion is included.

Main lines, sorted by position (5 to 70 degrees two-theta):
| two_theta | intensity | index |
| --- | --- | --- |
| 32.40 | 100 | 1 5 1 |
| 35.31 | 17 | 0 10 0 |
| 38.37 | 17 | 2 0 0 |
| 38.98 | 16 | 0 0 2 |
| 53.13 | 11 | 2 10 0 |
| 55.85 | 12 | 2 0 2 |
| 61.55 | 11 | 1 15 1 |
| 65.65 | 14 | 3 5 1 |
| 66.47 | 13 | 1 5 3 |
| 67.83 | 11 | 2 10 2 |

Structural model:
a b c (Å): 4.6913 25.4183 4.6217
angles (deg): 90.00 90.00 90.00
Space group Cmmm (No. 65)
Asymmetric unit:
Gd1 0.0000 0.0000 0.0000 (multiplicity 2)
Gd2 0.0000 0.1856 0.0000 (multiplicity 4)
Tl1 0.0000 0.4034 0.0000 (multiplicity 4)
Sn1 0.0000 0.0946 0.5000 (multiplicity 4)
Sn2 0.0000 0.5000 0.5000 (multiplicity 2)
Pb1 0.0000 0.2943 0.5000 (multiplicity 4)